1.
Theoretical powder X-ray diffraction pattern
Compound: Ba2YNbO6
Radiation: CuKα
Structure: a structure optimized by DFT (PBE)
Lines closer than 0.1° are merged.

```
data_Ba2YNbO6
_chemical_formula_sum 'Ba8 Y4 Nb4 O24'
_symmetry_space_group_name_H-M 'F m -3 m'
_symmetry_Int_Tables_number 225
_symmetry_space_group_name_Hall '-F 4 2 3'
_cell_length_a 8.5648
_cell_length_b 8.5648
_cell_length_c 8.5648
_cell_angle_alpha 90.00
_cell_angle_beta 90.00
_cell_angle_gamma 90.00
loop_
_atom_site_label
_atom_site_type_symbol
_atom_site_fract_x
_atom_site_fract_y
_atom_site_fract_z
Ba1 Ba 0.2500 0.2500 0.2500
Y1 Y 0.0000 0.0000 0.0000
Nb1 Nb 0.0000 0.0000 0.5000
O1 O 0.0000 0.0000 0.2634
```

The 10 most intense peaks (15° ≤ 2θ ≤ 90°), sorted by position:
2theta  d (Å)  I/Imax  (hkl)
20.74  4.282  1  2 0 0
29.50  3.028  100  2 2 0
36.34  2.472  7  2 2 2
42.21  2.141  32  4 0 0
52.33  1.748  40  4 2 2
61.22  1.514  19  4 4 0
69.40  1.354  18  6 2 0
73.32  1.291  2  6 2 2
77.16  1.236  6  4 4 4
84.69  1.145  21  6 4 2

***

2.
Theoretical powder X-ray diffraction pattern
Compound: TiAl2Zn
Radiation: CuKα
Structure: a structure optimized by DFT (PBE)
Lines closer than 0.1° are merged.

```
data_TiAl2Zn
_chemical_formula_sum 'Ti1 Al2 Zn1'
_symmetry_space_group_name_H-M 'P 4/m m m'
_symmetry_Int_Tables_number 123
_symmetry_space_group_name_Hall '-P 4 2'
_cell_length_a 3.9737
_cell_length_b 3.9737
_cell_length_c 3.8877
_cell_angle_alpha 90.00
_cell_angle_beta 90.00
_cell_angle_gamma 90.00
loop_
_atom_site_label
_atom_site_type_symbol
_atom_site_fract_x
_atom_site_fract_y
_atom_site_fract_z
Ti1 Ti 0.0000 0.0000 0.0000
Al1 Al 0.0000 0.5000 0.5000
Zn1 Zn 0.5000 0.5000 0.0000
```

The 10 most intense peaks (15° ≤ 2θ ≤ 90°), sorted by position:
2theta  d (Å)  I/Imax  (hkl)
22.87  3.888  15  0 0 1
31.85  2.810  13  1 1 0
39.57  2.277  100  1 1 1
45.66  1.987  33  2 0 0
46.73  1.944  15  0 0 2
66.56  1.405  10  2 2 0
67.40  1.389  19  2 0 2
80.29  1.196  23  3 1 1
81.86  1.177  11  1 1 3
85.23  1.139  10  2 2 2

***

3.
Theoretical powder X-ray diffraction pattern
Compound: CaTl2Cd
Radiation: CuKα
Structure: a structure optimized by DFT (PBE)
Lines closer than 0.1° are merged.

```
data_CaTl2Cd
_chemical_formula_sum 'Ca4 Tl8 Cd4'
_symmetry_space_group_name_H-M 'F m -3 m'
_symmetry_Int_Tables_number 225
_symmetry_space_group_name_Hall '-F 4 2 3'
_cell_length_a 7.6181
_cell_length_b 7.6181
_cell_length_c 7.6181
_cell_angle_alpha 90.00
_cell_angle_beta 90.00
_cell_angle_gamma 90.00
loop_
_atom_site_label
_atom_site_type_symbol
_atom_site_fract_x
_atom_site_fract_y
_atom_site_fract_z
Ca1 Ca 0.0000 0.0000 0.0000
Tl1 Tl 0.2500 0.2500 0.2500
Cd1 Cd 0.0000 0.0000 0.5000
```

The 10 most intense peaks (15° ≤ 2θ ≤ 90°), sorted by position:
2theta  d (Å)  I/Imax  (hkl)
23.35  3.809  22  2 0 0
33.26  2.693  100  2 2 0
41.04  2.199  7  2 2 2
47.75  1.905  18  4 0 0
53.82  1.703  10  4 2 0
59.44  1.555  38  4 2 2
69.84  1.347  12  4 4 0
74.77  1.270  5  6 0 0
79.59  1.205  16  6 2 0
89.03  1.100  4  4 4 4

***

4.
Theoretical powder X-ray diffraction pattern
Compound: TmNi4Au
Radiation: CuKα
Structure: a structure optimized by DFT (PBE)
Lines closer than 0.1° are merged.

```
data_TmNi4Au
_chemical_formula_sum 'Tm4 Ni16 Au4'
_symmetry_space_group_name_H-M 'F -4 3 m'
_symmetry_Int_Tables_number 216
_symmetry_space_group_name_Hall 'F -4 2 3'
_cell_length_a 6.9338
_cell_length_b 6.9338
_cell_length_c 6.9338
_cell_angle_alpha 90.00
_cell_angle_beta 90.00
_cell_angle_gamma 90.00
loop_
_atom_site_label
_atom_site_type_symbol
_atom_site_fract_x
_atom_site_fract_y
_atom_site_fract_z
Tm1 Tm 0.0000 0.0000 0.0000
Ni1 Ni 0.1244 0.1244 0.6244
Au1 Au 0.2500 0.2500 0.2500
```

The 10 most intense peaks (15° ≤ 2θ ≤ 90°), sorted by position:
2theta  d (Å)  I/Imax  (hkl)
22.21  4.003  20  1 1 1
36.66  2.451  70  2 2 0
43.28  2.091  100  3 1 1
45.31  2.002  13  2 2 2
57.98  1.591  5  3 3 1
66.01  1.415  26  4 2 2
70.58  1.334  30  3 3 3
77.94  1.226  22  4 4 0
82.26  1.172  4  5 3 1
89.37  1.096  12  6 2 0

***

5.
Theoretical powder X-ray diffraction pattern
Compound: KBH4
Radiation: CuKα
Structure: a structure optimized by DFT (PBE)
Lines closer than 0.1° are merged.

```
data_KBH4
_chemical_formula_sum 'K4 B4 H16'
_symmetry_space_group_name_H-M 'F -4 3 m'
_symmetry_Int_Tables_number 216
_symmetry_space_group_name_Hall 'F -4 2 3'
_cell_length_a 6.7396
_cell_length_b 6.7396
_cell_length_c 6.7396
_cell_angle_alpha 90.00
_cell_angle_beta 90.00
_cell_angle_gamma 90.00
loop_
_atom_site_label
_atom_site_type_symbol
_atom_site_fract_x
_atom_site_fract_y
_atom_site_fract_z
K1 K 0.0000 0.0000 0.0000
B1 B 0.0000 0.0000 0.5000
H1 H 0.1051 0.1051 0.6051
```

The 10 most intense peaks (15° ≤ 2θ ≤ 90°), sorted by position:
2theta  d (Å)  I/Imax  (hkl)
22.85  3.891  58  1 1 1
26.45  3.370  100  2 0 0
37.75  2.383  65  2 2 0
44.59  2.032  37  3 1 1
46.69  1.946  21  2 2 2
59.81  1.546  13  3 3 1
61.53  1.507  24  4 2 0
68.16  1.376  18  4 2 2
72.94  1.297  10  5 1 1
86.68  1.123  11  4 4 2

***

6.
Theoretical powder X-ray diffraction pattern
Compound: K2S2O7
Radiation: CuKα
Structure: a structure optimized by DFT (PBE)
Lines closer than 0.1° are merged.

```
data_K2S2O7
_chemical_formula_sum 'K8 S8 O28'
_symmetry_space_group_name_H-M 'C 1 2/c 1'
_symmetry_Int_Tables_number 15
_cell_length_a 12.6797
_cell_length_b 7.4590
_cell_length_c 7.4228
_cell_angle_alpha 90.00
_cell_angle_beta 92.08
_cell_angle_gamma 90.00
loop_
_symmetry_equiv_pos_as_xyz
'x,y,z'
'-x,-y,-z'
'-x,y,-z+1/2'
'x,-y,z+1/2'
'x+1/2,y+1/2,z'
'-x+1/2,-y+1/2,-z'
'-x+1/2,y+1/2,-z+1/2'
'x+1/2,-y+1/2,z+1/2'
loop_
_atom_site_label
_atom_site_type_symbol
_atom_site_fract_x
_atom_site_fract_y
_atom_site_fract_z
K1 K 0.1461 0.1553 0.3509
S1 S 0.1013 0.3145 0.8563
O1 O 0.0000 0.4182 0.7500
O2 O 0.0573 0.2109 0.0030
O3 O 0.1495 0.2003 0.7213
O4 O 0.1655 0.4674 0.9119
```

The 10 most intense peaks (15° ≤ 2θ ≤ 90°), sorted by position:
2theta  d (Å)  I/Imax  (hkl)
18.09  4.903  33  1 1 -1
23.86  3.729  45  0 2 0
26.75  3.333  100  0 2 1
27.42  3.253  78  2 0 -2
28.17  3.168  72  4 0 0
28.32  3.151  85  2 0 2
30.10  2.969  41  2 2 -1
38.91  2.315  20  4 2 -1
39.88  2.260  23  5 1 1
45.89  1.977  35  2 2 -3

***

7.
Theoretical powder X-ray diffraction pattern
Compound: Tl2SnHgSe4
Radiation: CuKα
Structure: a structure optimized by DFT (PBE)
Lines closer than 0.1° are merged.

```
data_Tl2SnHgSe4
_chemical_formula_sum 'Tl4 Sn2 Hg2 Se8'
_symmetry_space_group_name_H-M 'I -4 2 m'
_symmetry_Int_Tables_number 121
_symmetry_space_group_name_Hall 'I -4 2'
_cell_length_a 8.2622
_cell_length_b 8.2622
_cell_length_c 7.0726
_cell_angle_alpha 90.00
_cell_angle_beta 90.00
_cell_angle_gamma 90.00
loop_
_atom_site_label
_atom_site_type_symbol
_atom_site_fract_x
_atom_site_fract_y
_atom_site_fract_z
Tl1 Tl 0.0000 0.5000 0.0000
Sn1 Sn 0.0000 0.0000 0.0000
Hg1 Hg 0.0000 0.0000 0.5000
Se1 Se 0.1717 0.1717 0.2306
```

The 10 most intense peaks (15° ≤ 2θ ≤ 90°), sorted by position:
2theta  d (Å)  I/Imax  (hkl)
21.51  4.131  54  2 0 0
27.23  3.275  27  2 1 1
30.60  2.921  53  2 2 0
33.35  2.686  100  2 0 2
40.03  2.252  30  2 2 2
49.33  1.847  26  4 2 0
51.22  1.784  27  4 0 2
56.17  1.637  25  4 2 2
74.24  1.277  16  4 2 4
77.97  1.225  18  6 2 2

***

8.
Theoretical powder X-ray diffraction pattern
Compound: NdAgPb
Radiation: CuKα
Structure: a structure optimized by DFT (PBE)
Lines closer than 0.1° are merged.

```
data_NdAgPb
_chemical_formula_sum 'Nd4 Ag4 Pb4'
_symmetry_space_group_name_H-M 'C 1 2/m 1'
_symmetry_Int_Tables_number 12
_cell_length_a 8.5626
_cell_length_b 4.9906
_cell_length_c 8.0557
_cell_angle_alpha 90.00
_cell_angle_beta 90.98
_cell_angle_gamma 90.00
loop_
_symmetry_equiv_pos_as_xyz
'x,y,z'
'-x,-y,-z'
'-x,y,-z'
'x,-y,z'
'x+1/2,y+1/2,z'
'-x+1/2,-y+1/2,-z'
'-x+1/2,y+1/2,-z'
'x+1/2,-y+1/2,z'
loop_
_atom_site_label
_atom_site_type_symbol
_atom_site_fract_x
_atom_site_fract_y
_atom_site_fract_z
Nd1 Nd 0.0007 0.0000 0.2821
Ag1 Ag 0.1667 0.5000 0.5092
Pb1 Pb 0.1694 0.5000 0.9285
```

The 10 most intense peaks (15° ≤ 2θ ≤ 90°), sorted by position:
2theta  d (Å)  I/Imax  (hkl)
23.36  3.808  16  2 0 -1
23.49  3.788  28  1 1 1
30.21  2.958  63  2 0 -2
30.50  2.930  100  1 1 2
35.99  2.495  48  0 2 0
36.26  2.477  94  3 1 0
39.38  2.288  34  1 1 -3
47.68  1.907  30  2 2 -2
61.31  1.512  18  1 3 2
64.88  1.437  17  3 3 0

***

9.
Theoretical powder X-ray diffraction pattern
Compound: Ba3Ta4NbO15
Radiation: CuKα
Structure: a structure optimized by DFT (PBE)
Lines closer than 0.1° are merged.

```
data_Ba3Ta4NbO15
_chemical_formula_sum 'Ba6 Ta8 Nb2 O30'
_symmetry_space_group_name_H-M 'P 4/m b m'
_symmetry_Int_Tables_number 127
_symmetry_space_group_name_Hall '-P 4 2ab'
_cell_length_a 12.7828
_cell_length_b 12.7828
_cell_length_c 4.0249
_cell_angle_alpha 90.00
_cell_angle_beta 90.00
_cell_angle_gamma 90.00
loop_
_atom_site_label
_atom_site_type_symbol
_atom_site_fract_x
_atom_site_fract_y
_atom_site_fract_z
Ba1 Ba 0.0000 0.0000 0.0000
Ba2 Ba 0.1693 0.3307 0.0000
Ta1 Ta 0.0754 0.7864 0.5000
Nb1 Nb 0.0000 0.5000 0.5000
O1 O 0.0000 0.5000 0.0000
O2 O 0.0077 0.3416 0.5000
O3 O 0.0682 0.1400 0.5000
O4 O 0.0771 0.7910 0.0000
O5 O 0.2183 0.7183 0.5000
```

The 10 most intense peaks (15° ≤ 2θ ≤ 90°), sorted by position:
2theta  d (Å)  I/Imax  (hkl)
25.12  3.545  38  3 2 0
27.09  3.291  59  2 1 1
28.80  3.100  70  4 1 0
29.71  3.007  40  2 2 1
31.34  2.854  100  3 1 1
33.69  2.660  27  3 2 1
45.05  2.012  25  0 0 2
50.50  1.807  24  5 5 0
54.35  1.688  24  4 1 2
55.74  1.649  25  5 5 1

***

10.
Theoretical powder X-ray diffraction pattern
Compound: LiLa4AlO8
Radiation: CuKα
Structure: a structure optimized by DFT (PBE)
Lines closer than 0.1° are merged.

```
data_LiLa4AlO8
_chemical_formula_sum 'Li2 La8 Al2 O16'
_symmetry_space_group_name_H-M 'C m m m'
_symmetry_Int_Tables_number 65
_symmetry_space_group_name_Hall '-C 2 2'
_cell_length_a 5.3825
_cell_length_b 12.6960
_cell_length_c 5.3949
_cell_angle_alpha 90.00
_cell_angle_beta 90.00
_cell_angle_gamma 90.00
loop_
_atom_site_label
_atom_site_type_symbol
_atom_site_fract_x
_atom_site_fract_y
_atom_site_fract_z
Li1 Li 0.0000 0.0000 0.0000
La1 La 0.0000 0.1361 0.5000
La2 La 0.0000 0.3629 0.0000
Al1 Al 0.0000 0.5000 0.5000
O1 O 0.0000 0.1804 0.0000
O2 O 0.0000 0.3296 0.5000
O3 O 0.2426 0.5000 0.2608
```

The 10 most intense peaks (15° ≤ 2θ ≤ 90°), sorted by position:
2theta  d (Å)  I/Imax  (hkl)
24.39  3.650  91  1 1 1
28.11  3.174  36  0 4 0
31.60  2.832  100  1 3 1
33.25  2.694  81  2 0 0
42.78  2.114  30  0 6 0
44.09  2.054  71  2 4 0
47.74  1.905  42  2 0 2
56.17  1.638  25  1 7 1
56.32  1.634  22  2 4 2
76.75  1.242  25  3 7 1